No. 1
Diffraction record for GeNF. The X-ray powder pattern is computed, not measured: it uses the PBE geometry in Alexandria and a wavelength of 1.5418 Å.
No peak broadening, texture or thermal motion is included.

Structure:
Lattice parameters (Å, degrees): 3.0940 10.7624 5.1868 90.00 90.00 90.00
Space group Cmc2_1 (No. 36)
One atom of each set of equivalent atoms:
Ge (0.0000, 0.1965, 0.0000)
N (0.0000, 0.2648, 0.6717)
F (0.0000, 0.0368, 0.9428)

Principal peaks in the range 10 to 80 degrees two-theta, by angle:
| 2θ (°) | I (rel.) | h k l |
| --- | --- | --- |
| 16.5 | 1000 | 0 2 0 |
| 23.8 | 873 | 0 2 1 |
| 30.1 | 280 | 1 1 0 |
| 34.6 | 351 | 0 0 2 |
| 34.8 | 998 | 1 1 1 |
| 37.7 | 310 | 0 4 1 |
| 51.7 | 189 | 1 5 0 |
| 54.1 | 209 | 0 6 1 |
| 62.1 | 251 | 1 1 3 |
| 63.7 | 229 | 1 5 2 |


No. 2
Diffraction record for DyTm2MgPd4. The X-ray powder pattern is computed, not measured: it uses the PBE geometry in Alexandria and a wavelength of 1.5418 Å.
No peak broadening, texture or thermal motion is included.

Structure:
Lattice parameters (Å, degrees): 4.8301 4.8301 23.7069 90.00 90.00 120.00
Space group R-3m (No. 166, hexagonal axes)
One atom of each set of equivalent atoms:
Dy (0.0000, 0.0000, 0.0000)
Tm (0.0000, 0.0000, 0.2455)
Mg (0.0000, 0.0000, 0.5000)
Pd (0.0000, 0.0000, 0.1244)
Pd (0.0000, 0.0000, 0.3758)

Principal peaks in the range 10 to 80 degrees two-theta, by angle:
| 2θ (°) | I (rel.) | h k l |
| --- | --- | --- |
| 11.2 | 34 | 0 0 3 |
| 21.6 | 45 | 1 0 1 |
| 22.5 | 58 | 0 0 6 |
| 28.5 | 37 | 0 1 5 |
| 37.2 | 1000 | 1 1 0 |
| 53.6 | 172 | 2 0 8 |
| 67.1 | 256 | 1 2 8 |
| 67.1 | 88 | 3 0 0 |
| 79.2 | 51 | 0 2 16 |
| 79.4 | 55 | 2 2 0 |